[1]
The following is a simulated X-ray diffraction stick pattern of KBa4Tc3O12. It was derived from a DFT-relaxed cell (GGA-PBE, Alexandria), using Cu Kα (λ = 1.5418 Å).
Kinematic intensities with the Lorentz-polarization factor, no thermal factor.

Cell and atoms:
a b c (Å): 8.389 8.389 8.389
angles (deg): 90.00 90.00 90.00
Space group Im-3m (No. 229)
One atom of each set of equivalent atoms:
K1 0.000 0.000 0.000 x2
Ba1 0.250 0.250 0.250 x8
Tc1 0.000 0.000 0.500 x6
O1 0.000 0.000 0.280 x12
O2 0.000 0.250 0.500 x12

The 6 most intense peaks (15° ≤ 2θ ≤ 90°), sorted by position:
2θ = 30.1°, intensity 100.0; 2θ = 43.1°, intensity 31.1; 2θ = 53.5°, intensity 38.9; 2θ = 62.6°, intensity 18.9; 2θ = 71.1°, intensity 17.7; 2θ = 86.9°, intensity 21.1

[2]
The following is a simulated X-ray diffraction stick pattern of ErInF5. It was derived from a DFT-relaxed cell (GGA-PBE, Alexandria), using Cu Kα (λ = 1.5418 Å).
Kinematic intensities with the Lorentz-polarization factor, no thermal factor.

Cell and atoms:
a b c (Å): 9.329 7.523 7.560
angles (deg): 90.00 111.30 90.00
Space group C2/c (No. 15)
One atom of each set of equivalent atoms:
Er1 0.000 0.043 0.250 x4
In1 0.000 0.500 0.000 x4
F1 0.000 0.342 0.250 x4
F2 0.008 0.165 0.960 x8
F3 0.246 0.036 0.359 x8

The 6 most intense peaks (15° ≤ 2θ ≤ 90°), sorted by position:
2θ = 20.4°, intensity 100.0; 2θ = 23.7°, intensity 55.0; 2θ = 26.4°, intensity 95.8; 2θ = 32.9°, intensity 28.7; 2θ = 43.3°, intensity 29.6; 2θ = 48.9°, intensity 30.7